This entry pairs a crystal structure of TaVMoW2 with its calculated XRD peak list. Radiation: Cu Kα. Structure: a DFT-relaxed cell (PBE, Alexandria).

Most intense lines, 2θ from 10° to 90°, low angle first:
hkl 0 0 1, 13.57°, 6.524 Å, I = 364; hkl 1 1 0, 24.71°, 3.603 Å, I = 121; hkl 1 1 -1, 26.85°, 3.320 Å, I = 123; hkl 0 2 0, 40.40°, 2.233 Å, I = 1000; hkl 2 1 -2, 41.56°, 2.173 Å, I = 907; hkl 4 0 -1, 59.35°, 1.557 Å, I = 315; hkl 2 3 -2, 74.30°, 1.277 Å, I = 218; hkl 4 0 -4, 76.62°, 1.244 Å, I = 141

Atomic structure:
a = 6.237 Å, b = 4.460 Å, c = 6.652 Å
α = 90.00°, β = 101.29°, γ = 90.00°
Space group P2_1/m (No. 11)
Symmetry-distinct sites (fractional):
Ta 0.201 0.250 0.344 (multiplicity 2)
V 0.055 0.250 0.693 (multiplicity 2)
Mo 0.455 0.750 0.340 (multiplicity 2)
W 0.128 0.750 0.004 (multiplicity 2)
W 0.380 0.250 0.997 (multiplicity 2)

---

This entry pairs a crystal structure of Ta5Mo4W2 with its calculated XRD peak list. Radiation: Cu Kα. Structure: a DFT-relaxed cell (PBE, Alexandria).

Most intense lines, 2θ from 10° to 90°, low angle first:
hkl 0 1 1, 13.68°, 6.471 Å, I = 387; hkl 1 3 0, 38.33°, 2.348 Å, I = 890; hkl 1 2 3, 39.17°, 2.300 Å, I = 539; hkl 2 0 0, 39.54°, 2.279 Å, I = 696; hkl 0 2 4, 40.81°, 2.211 Å, I = 325; hkl 1 1 4, 41.20°, 2.191 Å, I = 1000; hkl 1 3 2, 42.16°, 2.144 Å, I = 437; hkl 1 5 4, 70.71°, 1.332 Å, I = 329

Atomic structure:
a = 4.558 Å, b = 8.220 Å, c = 10.492 Å
α = 90.00°, β = 90.00°, γ = 90.00°
Space group Immm (No. 71)
Symmetry-distinct sites (fractional):
Ta 0.000 0.000 0.000 (multiplicity 2)
Ta 0.000 0.174 0.225 (multiplicity 8)
Mo 0.000 0.192 0.500 (multiplicity 4)
Mo 0.000 0.500 0.114 (multiplicity 4)
W 0.000 0.500 0.362 (multiplicity 4)

---

This entry pairs a crystal structure of Ta4Mo3W4 with its calculated XRD peak list. Radiation: Cu Kα. Structure: a DFT-relaxed cell (PBE, Alexandria).

Most intense lines, 2θ from 10° to 90°, low angle first:
hkl 3 1 1, 39.36°, 2.289 Å, I = 1000; hkl 0 2 0, 39.77°, 2.266 Å, I = 972; hkl 8 2 -1, 57.20°, 1.610 Å, I = 337; hkl 5 1 -2, 71.12°, 1.326 Å, I = 117; hkl 3 3 1, 71.89°, 1.313 Å, I = 227; hkl 19 1 -1, 72.00°, 1.312 Å, I = 113; hkl 11 3 0, 72.20°, 1.308 Å, I = 169; hkl 0 4 0, 85.74°, 1.133 Å, I = 110

Atomic structure:
a = 28.836 Å, b = 4.534 Å, c = 2.818 Å
α = 90.00°, β = 93.63°, γ = 90.00°
Space group C2/m (No. 12)
Symmetry-distinct sites (fractional):
Ta 0.090 0.000 0.234 (multiplicity 4)
Ta 0.227 0.500 0.312 (multiplicity 4)
Mo 0.000 0.000 0.500 (multiplicity 2)
Mo 0.135 0.500 0.598 (multiplicity 4)
W 0.045 0.500 0.854 (multiplicity 4)
W 0.181 0.000 0.942 (multiplicity 4)

---

This entry pairs a crystal structure of Ta5Mo4W2 with its calculated XRD peak list. Radiation: Cu Kα. Structure: a DFT-relaxed cell (PBE, Alexandria).

Most intense lines, 2θ from 10° to 90°, low angle first:
hkl 4 0 -2, 29.39°, 3.039 Å, I = 269; hkl 8 0 0, 35.82°, 2.507 Å, I = 242; hkl 5 1 0, 36.85°, 2.439 Å, I = 625; hkl 4 0 2, 37.49°, 2.399 Å, I = 528; hkl 8 0 -2, 39.77°, 2.266 Å, I = 376; hkl 1 1 -2, 40.48°, 2.228 Å, I = 1000; hkl 7 1 0, 43.17°, 2.095 Å, I = 475; hkl 3 1 4, 72.08°, 1.310 Å, I = 267

Atomic structure:
a = 20.759 Å, b = 3.073 Å, c = 6.509 Å
α = 90.00°, β = 104.99°, γ = 90.00°
Space group C2/m (No. 12)
Symmetry-distinct sites (fractional):
Ta 0.000 0.000 0.000 (multiplicity 2)
Ta 0.122 0.500 0.765 (multiplicity 4)
Ta 0.129 0.500 0.278 (multiplicity 4)
Mo 0.010 0.500 0.332 (multiplicity 4)
Mo 0.212 0.000 0.596 (multiplicity 4)
W 0.211 0.000 0.091 (multiplicity 4)